# 1
Starting from a DFT-relaxed cell (PBE, Alexandria), the X-ray powder pattern of ScCd2TeO6 was calculated for a wavelength of 1.5418 Å.
Peak positions follow from Bragg's law for the DFT cell and can differ from measured ones.

Largest 10 diffraction maxima, most intense first, 2θ = 5–70°:
29.36°, intensity 100
32.92°, intensity 36
56.60°, intensity 30
49.70°, intensity 24
47.24°, intensity 23
60.91°, intensity 18
43.36°, intensity 12
17.86°, intensity 12
66.05°, intensity 11
36.17°, intensity 10

Structural model:
Cell lengths 5.442, 5.442, 4.967 Å; angles 90.00, 90.00, 90.00 degrees
Atoms (fractional coordinates):
Sc  0.000  0.000  0.000
Cd  0.000  0.500  0.435
Cd  0.500  0.000  0.435
Te  0.500  0.500  0.015
O  0.000  0.000  0.616
O  0.258  0.258  0.145
O  0.258  0.742  0.145
O  0.500  0.500  0.629
O  0.742  0.258  0.145
O  0.742  0.742  0.145

***

# 2
Starting from a DFT-relaxed cell (PBE, Alexandria), the X-ray powder pattern of Cd2Se2O7 was calculated for a wavelength of 1.5418 Å.
Peak positions follow from Bragg's law for the DFT cell and can differ from measured ones.

Largest 10 diffraction maxima, most intense first, 2θ = 5–70°:
25.07°, intensity 100
28.47°, intensity 53
30.25°, intensity 29
32.31°, intensity 23
31.40°, intensity 20
32.68°, intensity 20
17.99°, intensity 17
35.82°, intensity 15
50.37°, intensity 14
38.25°, intensity 13

Structural model:
Cell lengths 5.179, 11.820, 5.918 Å; angles 90.00, 107.79, 90.00 degrees
Atoms (fractional coordinates):
Cd  0.029  0.144  0.386
Cd  0.029  0.356  0.886
Cd  0.971  0.644  0.114
Cd  0.971  0.856  0.614
Se  0.350  0.599  0.698
Se  0.350  0.901  0.198
Se  0.650  0.099  0.802
Se  0.650  0.401  0.302
O  0.094  0.681  0.507
O  0.094  0.819  0.007
O  0.185  0.543  0.891
O  0.185  0.957  0.391
O  0.433  0.197  0.641
O  0.433  0.303  0.141
O  0.500  0.000  0.000
O  0.500  0.500  0.500
O  0.567  0.697  0.859
O  0.567  0.803  0.359
O  0.815  0.043  0.609
O  0.815  0.457  0.109
O  0.906  0.181  0.993
O  0.906  0.319  0.493

***

# 3
Starting from a DFT-relaxed cell (PBE, Alexandria), the X-ray powder pattern of Cd3Se3O10 was calculated for a wavelength of 1.5418 Å.
Peak positions follow from Bragg's law for the DFT cell and can differ from measured ones.

Largest 10 diffraction maxima, most intense first, 2θ = 5–70°:
28.26°, intensity 100
46.95°, intensity 25
23.05°, intensity 19
32.84°, intensity 18
32.61°, intensity 14
55.56°, intensity 13
55.89°, intensity 13
10.79°, intensity 11
50.11°, intensity 10
36.74°, intensity 9

Structural model:
Cell lengths 8.636, 5.492, 10.902 Å; angles 90.00, 108.35, 90.00 degrees
Atoms (fractional coordinates):
Cd  0.018  0.000  0.378
Cd  0.031  0.980  0.886
Cd  0.369  0.015  0.704
Cd  0.631  0.515  0.296
Cd  0.969  0.480  0.114
Cd  0.982  0.500  0.622
Se  0.250  0.529  0.455
Se  0.262  0.453  0.927
Se  0.354  0.002  0.219
Se  0.646  0.502  0.781
Se  0.738  0.953  0.073
Se  0.750  0.029  0.545
O  0.095  0.621  0.319
O  0.114  0.344  0.991
O  0.147  0.659  0.810
O  0.152  0.306  0.520
O  0.223  0.775  0.548
O  0.231  0.150  0.285
O  0.251  0.196  0.832
O  0.256  0.838  0.090
O  0.471  0.811  0.334
O  0.477  0.204  0.178
O  0.523  0.704  0.822
O  0.529  0.311  0.666
O  0.744  0.338  0.910
O  0.749  0.696  0.168
O  0.769  0.650  0.715
O  0.777  0.275  0.452
O  0.848  0.806  0.480
O  0.853  0.159  0.190
O  0.886  0.844  0.009
O  0.905  0.121  0.681

***

# 4
Starting from a DFT-relaxed cell (PBE, Alexandria), the X-ray powder pattern of Cd3Se2O was calculated for a wavelength of 1.5418 Å.
Peak positions follow from Bragg's law for the DFT cell and can differ from measured ones.

Largest 10 diffraction maxima, most intense first, 2θ = 5–70°:
32.37°, intensity 100
33.10°, intensity 40
47.41°, intensity 30
46.53°, intensity 24
27.98°, intensity 18
57.82°, intensity 18
46.88°, intensity 17
45.98°, intensity 17
31.00°, intensity 11
28.56°, intensity 11

Structural model:
Cell lengths 6.813, 6.813, 6.581 Å; angles 99.17, 99.17, 120.73 degrees
Atoms (fractional coordinates):
Cd  0.000  0.500  0.500
Cd  0.130  0.276  0.011
Cd  0.276  0.130  0.511
Cd  0.500  0.000  0.000
Cd  0.724  0.870  0.489
Cd  0.870  0.724  0.989
Se  0.261  0.739  0.250
Se  0.410  0.590  0.750
Se  0.590  0.410  0.250
Se  0.739  0.261  0.750
O  0.050  0.950  0.750
O  0.950  0.050  0.250

***

# 5
Starting from a DFT-relaxed cell (PBE, Alexandria), the X-ray powder pattern of Cd3SeO6 was calculated for a wavelength of 1.5418 Å.
Peak positions follow from Bragg's law for the DFT cell and can differ from measured ones.

Largest 10 diffraction maxima, most intense first, 2θ = 5–70°:
31.81°, intensity 100
32.07°, intensity 70
32.67°, intensity 31
46.20°, intensity 28
56.77°, intensity 19
45.43°, intensity 16
58.07°, intensity 16
56.48°, intensity 14
57.64°, intensity 14
56.61°, intensity 9

Structural model:
Cell lengths 5.482, 5.637, 9.642 Å; angles 90.00, 124.09, 90.00 degrees
Atoms (fractional coordinates):
Cd  0.000  0.000  0.000
Cd  0.000  0.500  0.500
Cd  0.260  0.048  0.745
Cd  0.260  0.452  0.245
Cd  0.740  0.548  0.755
Cd  0.740  0.952  0.255
Se  0.500  0.000  0.500
Se  0.500  0.500  0.000
O  0.168  0.062  0.285
O  0.168  0.438  0.785
O  0.282  0.678  0.053
O  0.282  0.822  0.553
O  0.412  0.234  0.077
O  0.412  0.266  0.577
O  0.588  0.734  0.423
O  0.588  0.766  0.923
O  0.718  0.178  0.447
O  0.718  0.322  0.947
O  0.832  0.562  0.215
O  0.832  0.938  0.715